(1)
The following is a calculated powder X-ray diffraction pattern of Ca3GdAl8. It was derived from a crystal structure in the Materials Project, relaxed with GGA-PBE, using Cu Kα (weighted mean of Kα1 and Kα2).
Kinematic intensities with the Lorentz-polarization factor, no thermal factor.

```
data_Ca3GdAl8
_chemical_formula_sum 'Ca9 Gd3 Al24'
_cell_length_a 5.6749
_cell_length_b 5.6749
_cell_length_c 27.5519
_cell_angle_alpha 90.00
_cell_angle_beta 90.00
_cell_angle_gamma 120.00
_symmetry_space_group_name_H-M 'R 3 m'
_symmetry_Int_Tables_number 160
_symmetry_space_group_name_Hall 'R 3 -2"'
loop_
_atom_site_label
_atom_site_fract_x
_atom_site_fract_y
_atom_site_fract_z
Ca1 0.0000 0.0000 0.0000
Ca2 0.0000 0.0000 0.1250
Ca3 0.0000 0.0000 0.5001
Gd1 0.0000 0.0000 0.6250
Al1 0.0000 0.0000 0.3124
Al2 0.0000 0.0000 0.8125
Al3 0.0002 0.5001 0.5627
Al4 0.1670 0.3340 0.3956
```

The 10 most intense peaks (2θ from 10° to 90°), in order of falling intensity:
2θ/deg, Rel. int., index
37.2, 1000, 2 0 2
31.5, 417, 1 1 0
31.7, 410, 0 1 8
37.4, 330, 1 0 10
19.2, 249, 0 1 2
18.3, 239, 1 0 1
60.0, 182, 3 0 6
38.9, 174, 0 2 4
60.1, 170, 2 1 10
22.2, 153, 1 0 4

---

(2)
The following is a calculated powder X-ray diffraction pattern of MgFeMo6S8. It was derived from a crystal structure in the Materials Project, relaxed with GGA-PBE, using Cu Kα (weighted mean of Kα1 and Kα2).
Kinematic intensities with the Lorentz-polarization factor, no thermal factor.

```
data_MgFeMo6S8
_chemical_formula_sum 'Mg1 Fe1 Mo6 S8'
_cell_length_a 6.586
_cell_length_b 6.651
_cell_length_c 6.662
_cell_angle_alpha 97.07
_cell_angle_beta 93.28
_cell_angle_gamma 96.14
_symmetry_space_group_name_H-M 'P 1'
_symmetry_Int_Tables_number 1
_symmetry_space_group_name_Hall 'P 1'
loop_
_atom_site_label
_atom_site_fract_x
_atom_site_fract_y
_atom_site_fract_z
Mg1 0.000 0.000 0.000
Fe1 0.442 0.081 0.088
Mo1 0.001 0.565 0.216
Mo2 0.044 0.798 0.583
Mo3 0.139 0.253 0.398
Mo4 0.177 0.489 0.761
Mo5 0.368 0.617 0.448
Mo6 0.816 0.436 0.533
S1 0.230 0.891 0.280
S2 0.318 0.400 0.117
S3 0.370 0.834 0.793
S4 0.453 0.318 0.612
S5 0.728 0.738 0.369
S6 0.788 0.233 0.193
S7 0.863 0.646 0.864
S8 0.954 0.163 0.692
```

The 10 most intense peaks (2θ from 10° to 90°), in order of falling intensity:
2θ/deg, Rel. int., index
13.5, 1000, 0 0 1
13.6, 734, 1 0 0
45.4, 330, 2 2 1
46.0, 241, 3 1 -1
44.4, 222, 1 -1 3
45.8, 220, -1 3 1
33.4, 191, -1 1 2
38.5, 188, 2 -2 1
17.8, 173, 0 1 -1
36.3, 165, 1 1 2

---

(3)
The following is a calculated powder X-ray diffraction pattern of PrLuO3. It was derived from a crystal structure in the Materials Project, relaxed with GGA-PBE, using Cu Kα (weighted mean of Kα1 and Kα2).
Kinematic intensities with the Lorentz-polarization factor, no thermal factor.

```
data_PrLuO3
_chemical_formula_sum 'Pr4 Lu4 O12'
_cell_length_a 6.010
_cell_length_b 8.360
_cell_length_c 5.771
_cell_angle_alpha 90.00
_cell_angle_beta 90.00
_cell_angle_gamma 90.00
_symmetry_space_group_name_H-M 'P n m a'
_symmetry_Int_Tables_number 62
_symmetry_space_group_name_Hall '-P 2ac 2n'
loop_
_atom_site_label
_atom_site_fract_x
_atom_site_fract_y
_atom_site_fract_z
Pr1 0.054 0.250 0.016
Lu1 0.000 0.000 0.500
O1 0.054 0.750 0.377
O2 0.194 0.565 0.808
```

The 10 most intense peaks (2θ from 10° to 90°), in order of falling intensity:
2θ/deg, Rel. int., index
30.3, 1000, 1 2 1
31.0, 228, 0 0 2
29.7, 226, 2 0 0
54.7, 225, 1 2 3
43.5, 198, 2 0 2
53.1, 152, 3 2 1
43.3, 121, 0 4 0
63.0, 116, 2 4 2
54.2, 114, 0 4 2
53.4, 106, 2 4 0

---

(4)
The following is a calculated powder X-ray diffraction pattern of CuSnPd2. It was derived from a crystal structure in the Materials Project, relaxed with GGA-PBE, using Cu Kα (weighted mean of Kα1 and Kα2).
Kinematic intensities with the Lorentz-polarization factor, no thermal factor.

```
data_CuSnPd2
_chemical_formula_sum 'Cu12 Sn12 Pd24'
_cell_length_a 3.942
_cell_length_b 12.379
_cell_length_c 15.591
_cell_angle_alpha 90.00
_cell_angle_beta 90.00
_cell_angle_gamma 90.00
_symmetry_space_group_name_H-M 'P m m m'
_symmetry_Int_Tables_number 47
_symmetry_space_group_name_Hall '-P 2 2'
loop_
_atom_site_label
_atom_site_fract_x
_atom_site_fract_y
_atom_site_fract_z
Cu1 0.000 0.000 0.000
Cu2 0.000 0.000 0.248
Cu3 0.000 0.000 0.500
Cu4 0.000 0.339 0.500
Cu5 0.000 0.500 0.376
Cu6 0.500 0.332 0.125
Sn1 0.500 0.167 0.000
Sn2 0.500 0.168 0.500
Sn3 0.500 0.172 0.252
Sn4 0.500 0.500 0.000
Sn5 0.500 0.500 0.251
Sn6 0.500 0.500 0.500
Pd1 0.000 0.163 0.377
Pd2 0.000 0.165 0.124
Pd3 0.000 0.335 0.000
Pd4 0.000 0.337 0.249
Pd5 0.000 0.500 0.124
Pd6 0.500 0.000 0.126
Pd7 0.500 0.000 0.373
Pd8 0.500 0.340 0.384
```

The 10 most intense peaks (2θ from 10° to 90°), in order of falling intensity:
2θ/deg, Rel. int., index
39.2, 1000, 1 3 4
43.9, 180, 0 6 0
46.0, 158, 2 0 0
46.6, 149, 0 0 8
77.5, 129, 1 9 4
80.6, 120, 3 3 4
81.4, 112, 1 3 12
65.5, 107, 2 6 0
84.2, 106, 2 6 8
65.9, 103, 0 6 8

---

(5)
The following is a calculated powder X-ray diffraction pattern of ErCdPt2. It was derived from a crystal structure in the Materials Project, relaxed with GGA-PBE, using Cu Kα (weighted mean of Kα1 and Kα2).
Kinematic intensities with the Lorentz-polarization factor, no thermal factor.

```
data_ErCdPt2
_chemical_formula_sum 'Er4 Cd4 Pt8'
_cell_length_a 6.758
_cell_length_b 6.758
_cell_length_c 6.758
_cell_angle_alpha 90.00
_cell_angle_beta 90.00
_cell_angle_gamma 90.00
_symmetry_space_group_name_H-M 'F m -3 m'
_symmetry_Int_Tables_number 225
_symmetry_space_group_name_Hall '-F 4 2 3'
loop_
_atom_site_label
_atom_site_fract_x
_atom_site_fract_y
_atom_site_fract_z
Er1 0.000 0.000 0.000
Cd1 0.000 0.000 0.500
Pt1 0.250 0.250 0.250
```

The 10 most intense peaks (2θ from 10° to 90°), in order of falling intensity:
2θ/deg, Rel. int., index
37.6, 1000, 2 2 0
68.0, 355, 4 2 2
54.3, 174, 4 0 0
80.4, 112, 4 4 0
26.4, 29, 2 0 0
22.8, 13, 1 1 1
61.3, 13, 4 2 0
46.6, 9, 2 2 2
44.5, 8, 3 1 1
86.4, 7, 6 0 0